This entry pairs a crystal structure of Mg2VBiO6 with its theoretical powder XRD pattern. Radiation: CuKα. Structure: the PBE+U geometry in Alexandria.
Neutral-atom scattering factors, no anomalous dispersion.

Largest 10 diffraction maxima, low angle first, 2θ from 10° to 90°:
- 13.13°, I 79, hkl 1 0 1
- 21.49°, I 37, hkl 2 1 0
- 22.18°, I 31, hkl 0 0 2
- 29.11°, I 100, hkl 3 1 1
- 31.08°, I 77, hkl 2 1 2
- 32.42°, I 21, hkl 0 2 0
- 35.11°, I 22, hkl 1 2 1
- 43.50°, I 20, hkl 6 0 0
- 47.93°, I 21, hkl 1 2 3
- 50.62°, I 34, hkl 5 2 1

Unit cell a=12.466 b=5.524 c=8.015 alpha=90.00 beta=90.00 gamma=90.00
Fractional positions:
Mg 0.084 0.250 0.201
Mg 0.095 0.250 0.813
Mg 0.405 0.750 0.313
Mg 0.416 0.750 0.701
Mg 0.584 0.250 0.299
Mg 0.595 0.250 0.687
Mg 0.905 0.750 0.187
Mg 0.916 0.750 0.799
V 0.199 0.750 0.022
V 0.301 0.250 0.522
V 0.699 0.750 0.478
V 0.801 0.250 0.978
Bi 0.091 0.750 0.486
Bi 0.409 0.250 0.986
Bi 0.591 0.750 0.014
Bi 0.909 0.250 0.514
O 0.008 0.003 0.672
O 0.008 0.497 0.672
O 0.118 0.011 0.008
O 0.118 0.489 0.008
O 0.204 0.250 0.370
O 0.243 0.250 0.716
O 0.257 0.750 0.216
O 0.296 0.750 0.870
O 0.382 0.511 0.508
O 0.382 0.989 0.508
O 0.492 0.503 0.172
O 0.492 0.997 0.172
O 0.508 0.003 0.828
O 0.508 0.497 0.828
O 0.618 0.011 0.492
O 0.618 0.489 0.492
O 0.704 0.250 0.130
O 0.743 0.250 0.784
O 0.757 0.750 0.284
O 0.796 0.750 0.630
O 0.882 0.511 0.992
O 0.882 0.989 0.992
O 0.992 0.503 0.328
O 0.992 0.997 0.328